1.
This entry pairs a crystal structure of CaCo2Si4O12 with its calculated powder diffraction line list. Radiation: copper Kα. Structure: a crystal structure in Alexandria, relaxed with PBE+U.
Peak positions follow from Bragg's law for the DFT cell and can differ from measured ones.

Largest 8 diffraction maxima, sorted by position, 2θ = 10–90°:
2θ (°), I_rel
13.80, 61.7
19.97, 53.0
29.72, 100.0
30.57, 51.0
34.98, 26.4
35.33, 35.9
36.03, 40.6
40.79, 20.0

Cell lengths 6.5861, 6.5861, 5.3201 Å; angles 102.66, 102.66, 84.75 degrees
Fractional positions:
1 Ca 0.0000 0.0000 0.0000
2 Co 0.5882 0.4118 0.0000
3 Co 0.7898 0.2102 0.5000
4 Si 0.0816 0.5006 0.9803
5 Si 0.3207 0.0987 0.5265
6 Si 0.4994 0.9184 0.0197
7 Si 0.9013 0.6793 0.4735
8 O 0.0380 0.6710 0.2454
9 O 0.0544 0.6463 0.7572
10 O 0.0811 0.1864 0.4420
11 O 0.3111 0.3920 0.0373
12 O 0.3290 0.9620 0.7546
13 O 0.3537 0.9456 0.2428
14 O 0.5134 0.2586 0.6228
15 O 0.6080 0.6889 0.9627
16 O 0.6705 0.1018 0.1119
17 O 0.7414 0.4866 0.3772
18 O 0.8136 0.9189 0.5580
19 O 0.8982 0.3295 0.8881

---

2.
This entry pairs a crystal structure of RbV2SeO7 with its calculated powder diffraction line list. Radiation: copper Kα. Structure: a crystal structure in Alexandria, relaxed with PBE+U.
Peak positions follow from Bragg's law for the DFT cell and can differ from measured ones.

Largest 8 diffraction maxima, sorted by position, 2θ = 10–90°:
2θ (°), I_rel
22.30, 65.9
24.56, 100.0
26.58, 49.2
27.56, 54.6
31.17, 94.9
32.32, 49.0
42.31, 31.2
45.50, 31.6

Cell lengths 19.2044, 5.5402, 7.1582 Å; angles 90.00, 90.00, 90.00 degrees
Fractional positions:
1 Rb 0.0274 0.2500 0.2489
2 Rb 0.4726 0.7500 0.7489
3 Rb 0.5274 0.2500 0.2511
4 Rb 0.9726 0.7500 0.7511
5 V 0.1258 0.2500 0.7580
6 V 0.1907 0.7500 0.0469
7 V 0.3093 0.2500 0.5469
8 V 0.3742 0.7500 0.2580
9 V 0.6258 0.2500 0.7420
10 V 0.6907 0.7500 0.4531
11 V 0.8093 0.2500 0.9531
12 V 0.8742 0.7500 0.2420
13 Se 0.1533 0.7500 0.5075
14 Se 0.3467 0.2500 0.0075
15 Se 0.6533 0.7500 0.9925
16 Se 0.8467 0.2500 0.4925
17 O 0.0463 0.2500 0.8502
18 O 0.0998 0.5121 0.5612
19 O 0.0998 0.9879 0.5612
20 O 0.1360 0.7500 0.2618
21 O 0.1704 0.0026 0.9196
22 O 0.1704 0.4974 0.9196
23 O 0.2241 0.2500 0.6075
24 O 0.2759 0.7500 0.1075
25 O 0.3296 0.5026 0.4196
26 O 0.3296 0.9974 0.4196
27 O 0.3640 0.2500 0.7618
28 O 0.4002 0.0121 0.0612
29 O 0.4002 0.4879 0.0612
30 O 0.4537 0.7500 0.3502
31 O 0.5463 0.2500 0.6498
32 O 0.5998 0.5121 0.9388
33 O 0.5998 0.9879 0.9388
34 O 0.6360 0.7500 0.2382
35 O 0.6704 0.0026 0.5804
36 O 0.6704 0.4974 0.5804
37 O 0.7241 0.2500 0.8925
38 O 0.7759 0.7500 0.3925
39 O 0.8296 0.5026 0.0804
40 O 0.8296 0.9974 0.0804
41 O 0.8640 0.2500 0.7382
42 O 0.9002 0.0121 0.4388
43 O 0.9002 0.4879 0.4388
44 O 0.9537 0.7500 0.1498